No. 1
Starting from a cell relaxed with PBE, the PXRD pattern of KEuS2 was simulated for λ = 1.5418 Å (Cu Kα).
Peak positions follow from Bragg's law for the DFT cell and can differ from measured ones.

```
data_KEuS2
_cell_length_a 4.1975
_cell_length_b 4.1975
_cell_length_c 22.0733
_cell_angle_alpha 90.00
_cell_angle_beta 90.00
_cell_angle_gamma 120.00
_space_group_name_H-M_alt 'R -3 m'
_space_group_IT_number 166
_space_group_name_Hall '-R 3 2"'
loop_
_atom_site_label
_atom_site_fract_x
_atom_site_fract_y
_atom_site_fract_z
_atom_site_occupancy
K1 0.0000 0.0000 0.0000 1
Eu1 0.0000 0.0000 0.5000 1
S1 0.0000 0.0000 0.2342 1
```

Largest 8 diffraction maxima, in order of rising 2θ, 2θ = 15–90°:
d [Å]	I/Imax	h k l
3.587	25	1 0 1
3.453	34	0 1 2
3.036	100	1 0 4
2.382	19	1 0 7
2.198	35	0 1 8
2.099	35	1 1 0
2.018	17	1 1 3
1.726	18	0 2 4

***

No. 2
Starting from a cell relaxed with PBE, the PXRD pattern of Tb2NiGe6 was simulated for λ = 1.5418 Å (Cu Kα).
Peak positions follow from Bragg's law for the DFT cell and can differ from measured ones.

```
data_Tb2NiGe6
_cell_length_a 4.0598
_cell_length_b 4.0246
_cell_length_c 21.4238
_cell_angle_alpha 90.00
_cell_angle_beta 90.00
_cell_angle_gamma 90.00
_space_group_name_H-M_alt 'A m m 2'
_space_group_IT_number 38
loop_
_space_group_symop_operation_xyz
'x,y,z'
'-x,-y,z'
'-x,y,z'
'x,-y,z'
'x,y+1/2,z+1/2'
'-x,-y+1/2,z+1/2'
'-x,y+1/2,z+1/2'
'x,-y+1/2,z+1/2'
loop_
_atom_site_label
_atom_site_fract_x
_atom_site_fract_y
_atom_site_fract_z
_atom_site_occupancy
Tb1 0.0000 0.0000 0.0000 1
Tb2 0.0000 0.0000 0.3368 1
Ni1 0.5000 0.0000 0.7783 1
Ge1 0.0000 0.0000 0.6050 1
Ge2 0.0000 0.0000 0.7216 1
Ge3 0.5000 0.0000 0.1042 1
Ge4 0.5000 0.0000 0.2214 1
Ge5 0.5000 0.0000 0.4599 1
Ge6 0.5000 0.0000 0.8858 1
```

Largest 8 diffraction maxima, in order of rising 2θ, 2θ = 15–90°:
d [Å]	I/Imax	h k l
2.680	38	0 0 8
2.654	100	1 1 3
2.378	23	1 1 5
2.049	18	0 1 9
2.030	23	2 0 0
2.012	23	0 2 0
1.609	22	0 2 8
1.429	15	2 2 0

***

No. 3
Starting from a cell relaxed with PBE, the PXRD pattern of Eu2TiCuO6 was simulated for λ = 1.5418 Å (Cu Kα).
Peak positions follow from Bragg's law for the DFT cell and can differ from measured ones.

```
data_Eu2TiCuO6
_cell_length_a 5.4476
_cell_length_b 5.6197
_cell_length_c 9.4541
_cell_angle_alpha 90.00
_cell_angle_beta 124.92
_cell_angle_gamma 90.00
_space_group_name_H-M_alt 'P 1 21/c 1'
_space_group_IT_number 14
loop_
_space_group_symop_operation_xyz
'x,y,z'
'-x,-y,-z'
'-x,y+1/2,-z+1/2'
'x,-y+1/2,z+1/2'
loop_
_atom_site_label
_atom_site_fract_x
_atom_site_fract_y
_atom_site_fract_z
_atom_site_occupancy
Eu1 0.2363 0.0522 0.2479 1
Ti1 0.5000 0.0000 0.0000 1
Cu1 0.0000 0.0000 0.5000 1
O1 0.1651 0.1965 0.9575 1
O2 0.2589 0.7092 0.9548 1
O3 0.3401 0.0239 0.7536 1
```

Largest 8 diffraction maxima, in order of rising 2θ, 2θ = 15–90°:
d [Å]	I/Imax	h k l
3.911	36	1 1 -1
2.810	43	0 2 0
2.758	100	1 1 1
2.749	100	1 1 -3
2.724	51	2 0 -2
1.956	44	2 2 -2
1.581	33	3 1 -1
1.576	33	2 0 -6

***

No. 4
Starting from a cell relaxed with PBE, the PXRD pattern of TbSmHg2 was simulated for λ = 1.5418 Å (Cu Kα).
Peak positions follow from Bragg's law for the DFT cell and can differ from measured ones.

```
data_TbSmHg2
_cell_length_a 7.5470
_cell_length_b 7.5470
_cell_length_c 7.5470
_cell_angle_alpha 90.00
_cell_angle_beta 90.00
_cell_angle_gamma 90.00
_space_group_name_H-M_alt 'F m -3 m'
_space_group_IT_number 225
_space_group_name_Hall '-F 4 2 3'
loop_
_atom_site_label
_atom_site_fract_x
_atom_site_fract_y
_atom_site_fract_z
_atom_site_occupancy
Tb1 0.0000 0.0000 0.0000 1
Sm1 0.0000 0.0000 0.5000 1
Hg1 0.2500 0.2500 0.2500 1
```

Largest 8 diffraction maxima, in order of rising 2θ, 2θ = 15–90°:
d [Å]	I/Imax	h k l
3.773	2	2 0 0
2.668	100	2 2 0
2.179	1	2 2 2
1.887	18	4 0 0
1.688	1	4 2 0
1.541	38	4 2 2
1.334	12	4 4 0
1.193	17	6 2 0

***

No. 5
Starting from a cell relaxed with PBE, the PXRD pattern of Sm3NbO7 was simulated for λ = 1.5418 Å (Cu Kα).
Peak positions follow from Bragg's law for the DFT cell and can differ from measured ones.

```
data_Sm3NbO7
_cell_length_a 10.8520
_cell_length_b 7.5191
_cell_length_c 7.6929
_cell_angle_alpha 90.00
_cell_angle_beta 90.00
_cell_angle_gamma 90.00
_space_group_name_H-M_alt 'C m c m'
_space_group_IT_number 63
_space_group_name_Hall '-C 2c 2'
loop_
_atom_site_label
_atom_site_fract_x
_atom_site_fract_y
_atom_site_fract_z
_atom_site_occupancy
Sm1 0.0000 0.0000 0.0000 1
Sm2 0.2288 0.2883 0.2500 1
Nb1 0.0000 0.5000 0.0000 1
O1 0.0000 0.4301 0.2500 1
O2 0.1279 0.3085 0.5325 1
O3 0.1318 0.0199 0.2500 1
```

Largest 8 diffraction maxima, in order of rising 2θ, 2θ = 15–90°:
d [Å]	I/Imax	h k l
3.138	100	2 0 2
3.090	94	2 2 0
2.713	22	4 0 0
2.689	44	0 2 2
1.923	18	0 0 4
1.910	51	4 2 2
1.633	28	2 2 4
1.613	18	2 4 2

***

No. 6
Starting from a cell relaxed with PBE, the PXRD pattern of BaTi4SnO12 was simulated for λ = 1.5418 Å (Cu Kα).
Peak positions follow from Bragg's law for the DFT cell and can differ from measured ones.

```
data_BaTi4SnO12
_cell_length_a 5.5571
_cell_length_b 5.5571
_cell_length_c 7.7537
_cell_angle_alpha 90.00
_cell_angle_beta 90.00
_cell_angle_gamma 90.00
_space_group_name_H-M_alt 'P 4/m m m'
_space_group_IT_number 123
_space_group_name_Hall '-P 4 2'
loop_
_atom_site_label
_atom_site_fract_x
_atom_site_fract_y
_atom_site_fract_z
_atom_site_occupancy
Ba1 0.0000 0.0000 0.0000 1
Ti1 0.0000 0.5000 0.2532 1
Sn1 0.5000 0.5000 0.5000 1
O1 0.0000 0.5000 0.0000 1
O2 0.0000 0.5000 0.5000 1
O3 0.2565 0.2565 0.2638 1
```

Largest 8 diffraction maxima, in order of rising 2θ, 2θ = 15–90°:
d [Å]	I/Imax	h k l
4.517	100	1 0 1
2.779	33	2 0 0
2.760	64	1 1 2
2.367	37	2 1 1
2.344	18	1 0 3
1.965	32	2 2 0
1.601	25	3 1 2
1.380	17	2 2 4

***

No. 7
Starting from a cell relaxed with PBE, the PXRD pattern of Na3InF6 was simulated for λ = 1.5418 Å (Cu Kα).
Peak positions follow from Bragg's law for the DFT cell and can differ from measured ones.

```
data_Na3InF6
_cell_length_a 5.7355
_cell_length_b 5.9358
_cell_length_c 10.0668
_cell_angle_alpha 90.00
_cell_angle_beta 124.07
_cell_angle_gamma 90.00
_space_group_name_H-M_alt 'P 1 21/c 1'
_space_group_IT_number 14
loop_
_space_group_symop_operation_xyz
'x,y,z'
'-x,-y,-z'
'-x,y+1/2,-z+1/2'
'x,-y+1/2,z+1/2'
loop_
_atom_site_label
_atom_site_fract_x
_atom_site_fract_y
_atom_site_fract_z
_atom_site_occupancy
Na1 0.0000 0.0000 0.0000 1
Na2 0.2316 0.0538 0.7436 1
In1 0.5000 0.0000 0.5000 1
F1 0.1366 0.1778 0.4396 1
F2 0.2533 0.7041 0.4237 1
F3 0.3939 0.0691 0.2654 1
```

Largest 8 diffraction maxima, in order of rising 2θ, 2θ = 15–90°:
d [Å]	I/Imax	h k l
4.836	100	0 1 1
4.751	38	1 0 0
4.700	46	1 0 -2
4.124	76	1 1 -1
2.944	66	1 1 1
2.920	62	1 1 -3
2.517	38	1 2 0
2.062	43	2 2 -2

***

No. 8
Starting from a cell relaxed with PBE, the PXRD pattern of HoCdAu2 was simulated for λ = 1.5418 Å (Cu Kα).
Peak positions follow from Bragg's law for the DFT cell and can differ from measured ones.

```
data_HoCdAu2
_cell_length_a 6.9698
_cell_length_b 6.9698
_cell_length_c 6.9698
_cell_angle_alpha 90.00
_cell_angle_beta 90.00
_cell_angle_gamma 90.00
_space_group_name_H-M_alt 'F m -3 m'
_space_group_IT_number 225
_space_group_name_Hall '-F 4 2 3'
loop_
_atom_site_label
_atom_site_fract_x
_atom_site_fract_y
_atom_site_fract_z
_atom_site_occupancy
Ho1 0.0000 0.0000 0.0000 1
Cd1 0.0000 0.0000 0.5000 1
Au1 0.2500 0.2500 0.2500 1
```

Largest 8 diffraction maxima, in order of rising 2θ, 2θ = 15–90°:
d [Å]	I/Imax	h k l
3.485	4	2 0 0
2.464	100	2 2 0
2.012	1	2 2 2
1.742	18	4 0 0
1.558	2	4 2 0
1.423	36	4 2 2
1.232	11	4 4 0
1.102	17	6 2 0